# Rb2TiBr7
Simulated X-ray diffraction stick pattern, Cu Kα. Input: a cell relaxed with GGA-PBE.
Intensities are scaled so that the largest is 1000.

Largest 10 diffraction maxima, most intense first, 2θ = 10–80°:
2θ/deg, I_rel, index
26.68, 1000, 2 0 2
29.69, 803, 2 2 0
45.13, 518, 2 2 4
33.19, 360, 0 0 4
42.49, 232, 4 0 0
54.96, 229, 4 0 4
14.72, 183, 1 1 0
22.12, 174, 1 1 2
50.88, 169, 4 2 2
32.64, 153, 3 0 1

Structure:
a = 8.509 Å, b = 8.509 Å, c = 10.797 Å
α = 90.00°, β = 90.00°, γ = 90.00°
Space group I4/mmm (No. 139)
Asymmetric unit:
1 Rb 0.000 0.500 0.250 x4
2 Ti 0.000 0.000 0.000 x2
3 Br 0.000 0.000 0.238 x4
4 Br 0.000 0.000 0.500 x2
5 Br 0.209 0.209 0.000 x8